SrAcCrO4: computed powder diffractogram (a wavelength of 1.5418 Å), based on the PBE+U geometry in Alexandria.
Peak positions follow from Bragg's law for the DFT cell and can differ from measured ones.

Crystal structure
a b c (Å): 6.9736 6.9736 6.9736
angles (deg): 146.97 146.97 47.41
Fractional positions:
Sr  0.0000  0.0000  0.0000
Ac  0.2818  0.2818  0.0000
Cr  0.6345  0.6345  0.0000
O  0.1438  0.6438  0.5000
O  0.4749  0.4749  0.0000
O  0.6438  0.1438  0.5000
O  0.8041  0.8041  0.0000

Principal peaks in the range 10° ≤ 2θ ≤ 80°, by angle:
13.9 deg, rel. 28
23.5 deg, rel. 55
27.9 deg, rel. 17
30.8 deg, rel. 100
31.9 deg, rel. 67
42.1 deg, rel. 18
42.9 deg, rel. 37
45.8 deg, rel. 33
54.1 deg, rel. 15
56.2 deg, rel. 38